For LuCuRh, a structure optimized by DFT (GGA-PBE) gives the simulated PXRD pattern in this record (Cu Kα (weighted mean of Kα1 and Kα2)).
Intensities are scaled so that the largest is 100.

Top 10 peaks for 10° ≤ 2θ ≤ 90°, in order of rising 2θ:
- (1 0 0), 23.82 deg, d 3.735, I = 17
- (1 0 1), 36.34 deg, d 2.472, I = 100
- (1 1 0), 41.90 deg, d 2.156, I = 59
- (2 0 0), 48.77 deg, d 1.867, I = 3
- (0 0 2), 55.74 deg, d 1.649, I = 8
- (2 0 1), 56.64 deg, d 1.625, I = 28
- (1 0 2), 61.47 deg, d 1.509, I = 3
- (1 1 2), 72.11 deg, d 1.310, I = 23
- (2 1 1), 72.89 deg, d 1.298, I = 26
- (3 0 0), 76.52 deg, d 1.245, I = 10

Structure:
```
data_LuCuRh
_cell_length_a 4.3126
_cell_length_b 4.3126
_cell_length_c 3.2981
_cell_angle_alpha 90.00
_cell_angle_beta 90.00
_cell_angle_gamma 120.00
_space_group_name_H-M_alt 'P -6 m 2'
_space_group_IT_number 187
_space_group_name_Hall 'P -6 2'
loop_
_atom_site_label
_atom_site_type_symbol
_atom_site_fract_x
_atom_site_fract_y
_atom_site_fract_z
_atom_site_occupancy
Lu1 Lu 0.0000 0.0000 0.0000 1
Cu1 Cu 0.3333 0.6667 0.5000 1
Rh1 Rh 0.6667 0.3333 0.5000 1
```

For LuScCuRu, a structure optimized by DFT (GGA-PBE) gives the simulated PXRD pattern in this record (Cu Kα (weighted mean of Kα1 and Kα2)).
Intensities are scaled so that the largest is 100.

Top 10 peaks for 10° ≤ 2θ ≤ 90°, in order of rising 2θ:
- (1 1 1), 23.36 deg, d 3.809, I = 28
- (2 0 0), 27.03 deg, d 3.299, I = 2
- (2 2 0), 38.60 deg, d 2.332, I = 100
- (3 1 1), 45.61 deg, d 1.989, I = 15
- (4 0 0), 55.74 deg, d 1.649, I = 17
- (3 3 1), 61.24 deg, d 1.513, I = 6
- (4 2 2), 69.85 deg, d 1.347, I = 33
- (5 1 1), 74.78 deg, d 1.270, I = 5
- (4 4 0), 82.76 deg, d 1.166, I = 10
- (5 3 1), 87.47 deg, d 1.115, I = 5

Structure:
```
data_LuScCuRu
_cell_length_a 6.597
_cell_length_b 6.597
_cell_length_c 6.597
_cell_angle_alpha 90.00
_cell_angle_beta 90.00
_cell_angle_gamma 90.00
_space_group_name_H-M_alt 'F -4 3 m'
_space_group_IT_number 216
_space_group_name_Hall 'F -4 2 3'
loop_
_atom_site_label
_atom_site_type_symbol
_atom_site_fract_x
_atom_site_fract_y
_atom_site_fract_z
_atom_site_occupancy
Lu1 Lu 0.000 0.000 0.000 1
Sc1 Sc 0.000 0.000 0.500 1
Cu1 Cu 0.250 0.250 0.250 1
Ru1 Ru 0.250 0.250 0.750 1
```

For LuZrCuRu, a structure optimized by DFT (GGA-PBE) gives the simulated PXRD pattern in this record (Cu Kα (weighted mean of Kα1 and Kα2)).
Intensities are scaled so that the largest is 100.

Top 10 peaks for 10° ≤ 2θ ≤ 90°, in order of rising 2θ:
- (1 1 1), 23.20 deg, d 3.835, I = 9
- (2 0 0), 26.85 deg, d 3.321, I = 6
- (2 2 0), 38.33 deg, d 2.348, I = 100
- (3 1 1), 45.28 deg, d 2.003, I = 5
- (4 0 0), 55.33 deg, d 1.660, I = 17
- (3 3 1), 60.79 deg, d 1.524, I = 2
- (4 2 0), 62.54 deg, d 1.485, I = 2
- (4 2 2), 69.31 deg, d 1.356, I = 34
- (4 4 0), 82.08 deg, d 1.174, I = 11
- (5 3 1), 86.74 deg, d 1.123, I = 2

Structure:
```
data_LuZrCuRu
_cell_length_a 6.642
_cell_length_b 6.642
_cell_length_c 6.642
_cell_angle_alpha 90.00
_cell_angle_beta 90.00
_cell_angle_gamma 90.00
_space_group_name_H-M_alt 'F -4 3 m'
_space_group_IT_number 216
_space_group_name_Hall 'F -4 2 3'
loop_
_atom_site_label
_atom_site_type_symbol
_atom_site_fract_x
_atom_site_fract_y
_atom_site_fract_z
_atom_site_occupancy
Lu1 Lu 0.000 0.000 0.000 1
Zr1 Zr 0.000 0.000 0.500 1
Cu1 Cu 0.250 0.250 0.750 1
Ru1 Ru 0.250 0.250 0.250 1
```

For Lu3Cu4Si4, a structure optimized by DFT (GGA-PBE) gives the simulated PXRD pattern in this record (Cu Kα (weighted mean of Kα1 and Kα2)).
Intensities are scaled so that the largest is 100.

Top 10 peaks for 10° ≤ 2θ ≤ 90°, in order of rising 2θ:
- (1 0 1), 22.80 deg, d 3.900, I = 19
- (0 1 3), 24.11 deg, d 3.692, I = 24
- (1 1 2), 29.08 deg, d 3.070, I = 17
- (1 2 1), 36.05 deg, d 2.492, I = 100
- (1 1 4), 37.31 deg, d 2.410, I = 81
- (0 0 6), 40.15 deg, d 2.246, I = 16
- (2 0 0), 44.48 deg, d 2.037, I = 26
- (0 3 3), 46.64 deg, d 1.947, I = 27
- (0 2 8), 62.06 deg, d 1.496, I = 17
- (2 3 3), 66.41 deg, d 1.408, I = 18

Structure:
```
data_Lu3Cu4Si4
_cell_length_a 4.074
_cell_length_b 6.483
_cell_length_c 13.474
_cell_angle_alpha 90.00
_cell_angle_beta 90.00
_cell_angle_gamma 90.00
_space_group_name_H-M_alt 'I m m m'
_space_group_IT_number 71
_space_group_name_Hall '-I 2 2'
loop_
_atom_site_label
_atom_site_type_symbol
_atom_site_fract_x
_atom_site_fract_y
_atom_site_fract_z
_atom_site_occupancy
Lu1 Lu 0.000 0.000 0.000 1
Lu2 Lu 0.000 0.500 0.128 1
Cu1 Cu 0.000 0.308 0.330 1
Si1 Si 0.000 0.000 0.217 1
Si2 Si 0.000 0.186 0.500 1
```

For Lu3Cu4Sn4, a structure optimized by DFT (GGA-PBE) gives the simulated PXRD pattern in this record (Cu Kα (weighted mean of Kα1 and Kα2)).
Intensities are scaled so that the largest is 100.

Top 10 peaks for 10° ≤ 2θ ≤ 90°, in order of rising 2θ:
- (1 1 -2), 33.31 deg, d 2.690, I = 89
- (3 1 -2), 33.55 deg, d 2.671, I = 96
- (6 0 -1), 33.80 deg, d 2.652, I = 52
- (3 1 1), 34.30 deg, d 2.615, I = 100
- (5 1 -1), 34.76 deg, d 2.581, I = 95
- (1 1 2), 37.56 deg, d 2.395, I = 23
- (0 2 0), 40.86 deg, d 2.208, I = 81
- (3 1 2), 45.21 deg, d 2.006, I = 27
- (6 2 -1), 54.04 deg, d 1.697, I = 28
- (11 1 -2), 68.18 deg, d 1.375, I = 22

Structure:
```
data_Lu3Cu4Sn4
_cell_length_a 15.922
_cell_length_b 4.417
_cell_length_c 6.938
_cell_angle_alpha 90.00
_cell_angle_beta 114.44
_cell_angle_gamma 90.00
_space_group_name_H-M_alt 'C 1 2/m 1'
_space_group_IT_number 12
loop_
_space_group_symop_operation_xyz
'x,y,z'
'-x,-y,-z'
'-x,y,-z'
'x,-y,z'
'x+1/2,y+1/2,z'
'-x+1/2,-y+1/2,-z'
'-x+1/2,y+1/2,-z'
'x+1/2,-y+1/2,z'
loop_
_atom_site_label
_atom_site_type_symbol
_atom_site_fract_x
_atom_site_fract_y
_atom_site_fract_z
_atom_site_occupancy
Lu1 Lu 0.000 0.000 0.000 1
Lu2 Lu 0.129 0.000 0.652 1
Cu1 Cu 0.152 0.500 0.977 1
Cu2 Cu 0.192 0.500 0.389 1
Sn1 Sn 0.016 0.500 0.312 1
Sn2 Sn 0.218 0.000 0.191 1
```

For LuThCu2, a structure optimized by DFT (GGA-PBE) gives the simulated PXRD pattern in this record (Cu Kα (weighted mean of Kα1 and Kα2)).
Intensities are scaled so that the largest is 100.

Top 10 peaks for 10° ≤ 2θ ≤ 90°, in order of rising 2θ:
- (1 1 1), 21.98 deg, d 4.045, I = 2
- (2 0 0), 25.43 deg, d 3.503, I = 28
- (2 2 0), 36.27 deg, d 2.477, I = 100
- (2 2 2), 44.82 deg, d 2.022, I = 9
- (4 0 0), 52.23 deg, d 1.751, I = 18
- (4 2 0), 58.96 deg, d 1.566, I = 12
- (4 2 2), 65.25 deg, d 1.430, I = 36
- (4 4 0), 77.00 deg, d 1.238, I = 11
- (6 0 0), 82.64 deg, d 1.168, I = 6
- (6 2 0), 88.21 deg, d 1.108, I = 16

Structure:
```
data_LuThCu2
_cell_length_a 7.005
_cell_length_b 7.005
_cell_length_c 7.005
_cell_angle_alpha 90.00
_cell_angle_beta 90.00
_cell_angle_gamma 90.00
_space_group_name_H-M_alt 'F m -3 m'
_space_group_IT_number 225
_space_group_name_Hall '-F 4 2 3'
loop_
_atom_site_label
_atom_site_type_symbol
_atom_site_fract_x
_atom_site_fract_y
_atom_site_fract_z
_atom_site_occupancy
Lu1 Lu 0.000 0.000 0.000 1
Th1 Th 0.000 0.000 0.500 1
Cu1 Cu 0.250 0.250 0.250 1
```

For YLuTlCu, a structure optimized by DFT (GGA-PBE) gives the simulated PXRD pattern in this record (Cu Kα (weighted mean of Kα1 and Kα2)).
Intensities are scaled so that the largest is 100.

Top 10 peaks for 10° ≤ 2θ ≤ 90°, in order of rising 2θ:
- (1 1 1), 21.22 deg, d 4.187, I = 19
- (2 2 0), 35.00 deg, d 2.564, I = 100
- (3 1 1), 41.29 deg, d 2.187, I = 11
- (4 0 0), 50.33 deg, d 1.813, I = 18
- (3 3 1), 55.21 deg, d 1.664, I = 5
- (4 2 2), 62.77 deg, d 1.480, I = 36
- (5 1 1), 67.06 deg, d 1.396, I = 4
- (4 4 0), 73.93 deg, d 1.282, I = 11
- (5 3 1), 77.94 deg, d 1.226, I = 4
- (6 2 0), 84.49 deg, d 1.147, I = 16

Structure:
```
data_YLuTlCu
_cell_length_a 7.252
_cell_length_b 7.252
_cell_length_c 7.252
_cell_angle_alpha 90.00
_cell_angle_beta 90.00
_cell_angle_gamma 90.00
_space_group_name_H-M_alt 'F -4 3 m'
_space_group_IT_number 216
_space_group_name_Hall 'F -4 2 3'
loop_
_atom_site_label
_atom_site_type_symbol
_atom_site_fract_x
_atom_site_fract_y
_atom_site_fract_z
_atom_site_occupancy
Y1 Y 0.000 0.000 0.000 1
Lu1 Lu 0.000 0.000 0.500 1
Tl1 Tl 0.250 0.250 0.750 1
Cu1 Cu 0.250 0.250 0.250 1
```

For Mg2Cu17, a structure optimized by DFT (GGA-PBE) gives the simulated PXRD pattern in this record (Cu Kα (weighted mean of Kα1 and Kα2)).
Intensities are scaled so that the largest is 100.

Top 10 peaks for 10° ≤ 2θ ≤ 90°, in order of rising 2θ:
- (1 0 1), 14.12 deg, d 6.274, I = 21
- (1 1 0), 21.21 deg, d 4.189, I = 28
- (3 0 0), 37.18 deg, d 2.418, I = 18
- (2 2 0), 43.24 deg, d 2.092, I = 100
- (0 0 6), 43.48 deg, d 2.082, I = 26
- (2 0 5), 44.00 deg, d 2.058, I = 16
- (2 2 3), 48.66 deg, d 1.871, I = 78
- (1 1 6), 48.86 deg, d 1.864, I = 27
- (6 0 0), 79.21 deg, d 1.209, I = 16
- (0 3 9), 79.66 deg, d 1.204, I = 14

Structure:
```
data_Mg2Cu17
_cell_length_a 8.3779
_cell_length_b 8.3779
_cell_length_c 12.4894
_cell_angle_alpha 90.00
_cell_angle_beta 90.00
_cell_angle_gamma 120.00
_space_group_name_H-M_alt 'R -3 m'
_space_group_IT_number 166
_space_group_name_Hall '-R 3 2"'
loop_
_atom_site_label
_atom_site_type_symbol
_atom_site_fract_x
_atom_site_fract_y
_atom_site_fract_z
_atom_site_occupancy
Mg1 Mg 0.0000 0.0000 0.1592 1
Cu1 Cu 0.0000 0.0000 0.4019 1
Cu2 Cu 0.0000 0.3054 0.5000 1
Cu3 Cu 0.0000 0.5000 0.0000 1
Cu4 Cu 0.0017 0.5009 0.6546 1
```

For MgCu, a structure optimized by DFT (GGA-PBE) gives the simulated PXRD pattern in this record (Cu Kα (weighted mean of Kα1 and Kα2)).
Intensities are scaled so that the largest is 100.

Top 10 peaks for 10° ≤ 2θ ≤ 90°, in order of rising 2θ:
- (0 1 1), 14.85 deg, d 5.964, I = 39
- (0 0 2), 20.71 deg, d 4.289, I = 74
- (0 1 3), 33.14 deg, d 2.704, I = 23
- (1 0 2), 37.01 deg, d 2.429, I = 19
- (1 2 0), 37.43 deg, d 2.403, I = 49
- (0 0 4), 42.13 deg, d 2.145, I = 19
- (1 2 2), 43.15 deg, d 2.096, I = 100
- (0 4 0), 43.63 deg, d 2.074, I = 20
- (1 3 1), 46.24 deg, d 1.963, I = 18
- (0 4 2), 48.76 deg, d 1.868, I = 24

Structure:
```
data_MgCu
_cell_length_a 2.947
_cell_length_b 8.298
_cell_length_c 8.579
_cell_angle_alpha 90.00
_cell_angle_beta 90.00
_cell_angle_gamma 90.00
_space_group_name_H-M_alt 'A m m 2'
_space_group_IT_number 38
loop_
_space_group_symop_operation_xyz
'x,y,z'
'-x,-y,z'
'-x,y,z'
'x,-y,z'
'x,y+1/2,z+1/2'
'-x,-y+1/2,z+1/2'
'-x,y+1/2,z+1/2'
'x,-y+1/2,z+1/2'
loop_
_atom_site_label
_atom_site_type_symbol
_atom_site_fract_x
_atom_site_fract_y
_atom_site_fract_z
_atom_site_occupancy
Mg1 Mg 0.000 0.000 0.000 1
Mg2 Mg 0.000 0.186 0.326 1
Cu1 Cu 0.000 0.000 0.628 1
Cu2 Cu 0.500 0.236 0.580 1
```

For Mg3Cu, a structure optimized by DFT (GGA-PBE) gives the simulated PXRD pattern in this record (Cu Kα (weighted mean of Kα1 and Kα2)).
Intensities are scaled so that the largest is 100.

Top 10 peaks for 10° ≤ 2θ ≤ 90°, in order of rising 2θ:
- (0 1 1), 22.50 deg, d 3.951, I = 24
- (1 1 0), 23.78 deg, d 3.742, I = 21
- (0 2 1), 34.01 deg, d 2.636, I = 20
- (0 0 2), 34.71 deg, d 2.584, I = 14
- (2 0 0), 38.09 deg, d 2.362, I = 35
- (1 2 1), 39.13 deg, d 2.302, I = 100
- (1 0 2), 39.76 deg, d 2.267, I = 40
- (0 2 3), 61.77 deg, d 1.502, I = 14
- (3 2 1), 69.52 deg, d 1.352, I = 16
- (2 2 3), 74.93 deg, d 1.267, I = 15

Structure:
```
data_Mg3Cu
_cell_length_a 4.725
_cell_length_b 6.130
_cell_length_c 5.168
_cell_angle_alpha 90.00
_cell_angle_beta 90.00
_cell_angle_gamma 90.00
_space_group_name_H-M_alt 'P m m n'
_space_group_IT_number 59
loop_
_space_group_symop_operation_xyz
'x,y,z'
'-x,-y,-z'
'-x+1/2,-y+1/2,z'
'x+1/2,y+1/2,-z'
'x+1/2,-y,-z'
'-x+1/2,y,z'
'-x,y+1/2,-z'
'x,-y+1/2,z'
loop_
_atom_site_label
_atom_site_type_symbol
_atom_site_fract_x
_atom_site_fract_y
_atom_site_fract_z
_atom_site_occupancy
Mg1 Mg 0.250 0.000 0.174 1
Mg2 Mg 0.250 0.250 0.643 1
Cu1 Cu 0.250 0.750 0.684 1
```

For Mg8Cu, a structure optimized by DFT (GGA-PBE) gives the simulated PXRD pattern in this record (Cu Kα (weighted mean of Kα1 and Kα2)).
Intensities are scaled so that the largest is 100.

Top 10 peaks for 10° ≤ 2θ ≤ 90°, in order of rising 2θ:
- (1 1 0), 11.36 deg, d 7.787, I = 32
- (2 0 0), 16.10 deg, d 5.506, I = 23
- (3 3 0), 34.55 deg, d 2.596, I = 60
- (3 0 1), 37.44 deg, d 2.402, I = 100
- (3 2 1), 41.00 deg, d 2.201, I = 9
- (4 1 1), 44.31 deg, d 2.044, I = 7
- (6 0 0), 49.67 deg, d 1.835, I = 19
- (6 3 1), 63.82 deg, d 1.458, I = 33
- (3 3 2), 69.38 deg, d 1.355, I = 14
- (6 0 2), 79.88 deg, d 1.201, I = 9

Structure:
```
data_Mg8Cu
_cell_length_a 11.013
_cell_length_b 11.013
_cell_length_c 3.176
_cell_angle_alpha 90.00
_cell_angle_beta 90.00
_cell_angle_gamma 90.00
_space_group_name_H-M_alt 'I 4/m m m'
_space_group_IT_number 139
_space_group_name_Hall '-I 4 2'
loop_
_atom_site_label
_atom_site_type_symbol
_atom_site_fract_x
_atom_site_fract_y
_atom_site_fract_z
_atom_site_occupancy
Mg1 Mg 0.000 0.334 0.000 1
Mg2 Mg 0.150 0.150 0.500 1
Cu1 Cu 0.000 0.000 0.000 1
```

For Mg5Cu, a structure optimized by DFT (GGA-PBE) gives the simulated PXRD pattern in this record (Cu Kα (weighted mean of Kα1 and Kα2)).
Intensities are scaled so that the largest is 100.

Top 10 peaks for 10° ≤ 2θ ≤ 90°, in order of rising 2θ:
- (0 0 1), 10.92 deg, d 8.106, I = 31
- (1 0 1), 14.42 deg, d 6.141, I = 100
- (1 1 1), 31.28 deg, d 2.860, I = 41
- (2 1 0), 33.65 deg, d 2.664, I = 38
- (2 1 1), 35.48 deg, d 2.530, I = 34
- (1 1 2), 36.83 deg, d 2.440, I = 84
- (4 0 0), 38.26 deg, d 2.352, I = 50
- (2 0 3), 38.42 deg, d 2.343, I = 89
- (2 1 2), 40.53 deg, d 2.226, I = 42
- (3 1 1), 41.65 deg, d 2.169, I = 60

Structure:
```
data_Mg5Cu
_cell_length_a 9.410
_cell_length_b 3.231
_cell_length_c 8.106
_cell_angle_alpha 90.00
_cell_angle_beta 90.00
_cell_angle_gamma 90.00
_space_group_name_H-M_alt 'P m m a'
_space_group_IT_number 51
loop_
_space_group_symop_operation_xyz
'x,y,z'
'-x,-y,-z'
'-x+1/2,-y,z'
'x+1/2,y,-z'
'x+1/2,-y,-z'
'-x+1/2,y,z'
'-x,y,-z'
'x,-y,z'
loop_
_atom_site_label
_atom_site_type_symbol
_atom_site_fract_x
_atom_site_fract_y
_atom_site_fract_z
_atom_site_occupancy
Mg1 Mg 0.000 0.000 0.000 1
Mg2 Mg 0.044 0.500 0.317 1
Mg3 Mg 0.250 0.000 0.551 1
Mg4 Mg 0.250 0.500 0.892 1
Cu1 Cu 0.250 0.000 0.181 1
```

Question: Number 11 is which compound?
Answer: Mg8Cu